1.
For MgTe4Mo2W2Se2S2, DFT lattice parameters and positions (PBE) gives the simulated powder diffraction line list in this record (Cu Kα).

```
MgTe4Mo2W2Se2S2
1.0
3.3987 0.0000 0.0000
-1.6994 2.9434 0.0000
0.0000 0.0000 45.3544
Mg Te Mo W Se S
1 4 2 2 2 2
Direct
0.0000 0.0000 0.0000
0.3333 0.6667 0.0711
0.3333 0.6667 0.1544
0.6667 0.3333 0.5012
0.6667 0.3333 0.5838
0.3333 0.6667 0.5425
0.3333 0.6667 0.9116
0.6667 0.3333 0.1129
0.6667 0.3333 0.7307
0.3333 0.6667 0.6942
0.3333 0.6667 0.7672
0.6667 0.3333 0.8788
0.6667 0.3333 0.9452
```

Principal peaks in the range 2θ from 10° to 90°, in order of rising 2θ:
11.7°, I = 39; 30.4°, I = 50; 32.0°, I = 29; 34.3°, I = 77; 40.1°, I = 100; 54.0°, I = 37

***

2.
For CeLu3S6, DFT lattice parameters and positions (PBE) gives the simulated powder diffraction line list in this record (Cu Kα).

```
CeLu3S6
1.0
10.9660 0.0000 0.0000
0.0000 3.9228 0.0000
-3.6298 0.0000 10.5755
Ce Lu S
2 6 12
Direct
0.0505 0.2500 0.1954
0.9495 0.7500 0.8046
0.1604 0.2500 0.5865
0.3204 0.7500 0.0001
0.4433 0.2500 0.3338
0.5567 0.7500 0.6662
0.6796 0.2500 0.9999
0.8396 0.7500 0.4135
0.0811 0.7500 0.4068
0.1202 0.2500 0.9636
0.1975 0.7500 0.7495
0.2685 0.7500 0.2304
0.3924 0.2500 0.5575
0.4784 0.2500 0.1119
0.5216 0.7500 0.8881
0.6076 0.7500 0.4425
0.7315 0.2500 0.7696
0.8025 0.2500 0.2505
0.8798 0.7500 0.0364
0.9189 0.2500 0.5932
```

Principal peaks in the range 2θ from 10° to 90°, in order of rising 2θ:
23.9°, I = 76; 24.4°, I = 100; 26.6°, I = 70; 28.0°, I = 50; 31.4°, I = 67; 42.7°, I = 75

***

3.
For LaMn4Al8, DFT lattice parameters and positions (PBE) gives the simulated powder diffraction line list in this record (Cu Kα).

```
LaMn4Al8
1.0
-4.4613 4.4613 2.6025
4.4613 -4.4613 2.6025
4.4613 4.4613 -2.6025
La Mn Al
1 4 8
Direct
0.0000 0.0000 0.0000
0.0000 0.0000 0.5000
0.0000 0.5000 0.0000
0.5000 0.0000 0.0000
0.5000 0.5000 0.5000
0.0000 0.3418 0.3418
0.0000 0.6582 0.6582
0.2707 0.5000 0.7707
0.3418 0.0000 0.3418
0.5000 0.2707 0.7707
0.5000 0.7293 0.2293
0.6582 0.0000 0.6582
0.7293 0.5000 0.2293
```

Principal peaks in the range 2θ from 10° to 90°, in order of rising 2θ:
19.7°, I = 27; 28.2°, I = 39; 28.3°, I = 26; 34.7°, I = 29; 40.1°, I = 69; 40.4°, I = 100

***

4.
For Dy4Co3, DFT lattice parameters and positions (PBE) gives the simulated powder diffraction line list in this record (Cu Kα).

```
Dy4Co3
1.0
11.3854 0.0000 0.0000
-5.6927 9.8600 0.0000
0.0000 0.0000 3.9659
Dy Co
12 9
Direct
0.0211 0.2462 0.2500
0.1360 0.6209 0.2501
0.2250 0.9789 0.2500
0.2462 0.2250 0.7500
0.3791 0.5151 0.2501
0.4849 0.8640 0.2501
0.5151 0.1360 0.7499
0.6209 0.4849 0.7499
0.7538 0.7750 0.2500
0.7750 0.0211 0.7500
0.8640 0.3791 0.7499
0.9789 0.7538 0.7500
0.0000 0.0000 0.5000
0.1570 0.4408 0.7499
0.2838 0.8430 0.7499
0.3333 0.6667 0.7500
0.4408 0.2838 0.2501
0.5592 0.7162 0.7499
0.6667 0.3333 0.2500
0.7162 0.1570 0.2501
0.8430 0.5592 0.2501
```

Principal peaks in the range 2θ from 10° to 90°, in order of rising 2θ:
32.7°, I = 34; 33.0°, I = 100; 35.5°, I = 26; 42.0°, I = 22; 45.8°, I = 16; 63.4°, I = 22

***

5.
For Al4Ni3Pt, DFT lattice parameters and positions (PBE) gives the simulated powder diffraction line list in this record (Cu Kα).

```
Al4Ni3Pt
1.0
2.9177 0.0000 0.0000
0.0000 2.9177 0.0000
0.0000 0.0000 11.9072
Al Ni Pt
4 3 1
Direct
0.0000 0.0000 0.1190
0.0000 0.0000 0.3575
0.0000 0.0000 0.6425
0.0000 0.0000 0.8810
0.5000 0.5000 0.0000
0.5000 0.5000 0.2373
0.5000 0.5000 0.7627
0.5000 0.5000 0.5000
```

Principal peaks in the range 2θ from 10° to 90°, in order of rising 2θ:
14.9°, I = 21; 30.0°, I = 23; 30.6°, I = 44; 43.4°, I = 100; 43.9°, I = 51; 80.3°, I = 32

***

6.
For Ca4MnN4, DFT lattice parameters and positions (PBE) gives the simulated powder diffraction line list in this record (Cu Kα).

```
Ca4MnN4
1.0
11.1548 0.0000 0.0000
0.0000 4.9250 0.0000
0.0000 0.0000 10.9112
Ca Mn N
16 4 16
Direct
0.0594 0.2500 0.1115
0.0976 0.7500 0.3148
0.1291 0.7500 0.6581
0.2301 0.2500 0.4741
0.2699 0.7500 0.9741
0.3709 0.2500 0.1581
0.4024 0.2500 0.8148
0.4406 0.7500 0.6115
0.5594 0.2500 0.3885
0.5976 0.7500 0.1852
0.6291 0.7500 0.8419
0.7301 0.2500 0.0259
0.7699 0.7500 0.5259
0.8709 0.2500 0.3419
0.9024 0.2500 0.6852
0.9406 0.7500 0.8885
0.1316 0.2500 0.8494
0.3684 0.7500 0.3494
0.6316 0.2500 0.6506
0.8684 0.7500 0.1506
0.0133 0.7500 0.1060
0.0752 0.2500 0.3307
0.1764 0.2500 0.7008
0.2371 0.2500 0.9738
0.2629 0.7500 0.4738
0.3236 0.7500 0.2008
0.4248 0.7500 0.8307
0.4867 0.2500 0.6060
0.5133 0.7500 0.3940
0.5752 0.2500 0.1693
0.6764 0.2500 0.7992
0.7371 0.2500 0.5262
0.7629 0.7500 0.0262
0.8236 0.7500 0.2992
0.9248 0.7500 0.6693
0.9867 0.2500 0.8940
```

Principal peaks in the range 2θ from 10° to 90°, in order of rising 2θ:
31.2°, I = 76; 31.6°, I = 91; 34.4°, I = 26; 36.2°, I = 34; 36.5°, I = 100; 39.2°, I = 28

***

7.
For MgCuPdO2, DFT lattice parameters and positions (PBE) gives the simulated powder diffraction line list in this record (Cu Kα).

```
MgCuPdO2
1.0
2.8072 0.0000 0.0000
0.0000 2.8918 0.0000
0.0000 0.0000 7.6628
Mg Cu Pd O
1 1 1 2
Direct
0.0000 0.0000 0.0000
0.0000 0.5000 0.6890
0.5000 0.0000 0.3184
0.5000 0.5000 0.5195
0.5000 0.5000 0.9112
```

Principal peaks in the range 2θ from 10° to 90°, in order of rising 2θ:
11.5°, I = 54; 33.1°, I = 100; 34.0°, I = 78; 35.1°, I = 44; 51.2°, I = 53; 58.3°, I = 50

***

8.
For MgNbOF3, DFT lattice parameters and positions (PBE) gives the simulated powder diffraction line list in this record (Cu Kα).

```
MgNbOF3
1.0
4.0154 0.0000 0.0000
0.0000 4.2524 0.0000
0.0000 0.0000 9.8467
Mg Nb O F
2 2 2 6
Direct
0.0000 0.0000 0.0000
0.5000 0.5000 0.5000
0.0000 0.5000 0.2591
0.5000 0.0000 0.7591
0.0000 0.0000 0.7871
0.5000 0.5000 0.2871
0.0000 0.0000 0.2111
0.0000 0.5000 0.0360
0.0000 0.5000 0.4873
0.5000 0.0000 0.5360
0.5000 0.0000 0.9873
0.5000 0.5000 0.7111
```

Principal peaks in the range 2θ from 10° to 90°, in order of rising 2θ:
18.0°, I = 31; 22.8°, I = 100; 23.9°, I = 90; 36.5°, I = 37; 42.5°, I = 30; 51.1°, I = 40